For MgScB, a structure optimized by DFT (GGA-PBE) gives the calculated powder diffractogram in this record (copper Kα).

Cell lengths 5.814, 5.814, 5.814 Å; angles 90.00, 90.00, 90.00 degrees
Space group F-43m (No. 216)
One atom of each set of equivalent atoms:
Mg  0.000  0.000  0.000 x4
Sc  0.000  0.000  0.500 x4
B  0.250  0.250  0.250 x4

Principal peaks in the range 15 to 90 degrees two-theta, in order of rising 2θ:
2θ (°), Rel. int., index
26.6, 21, 1 1 1
30.8, 91, 2 0 0
44.1, 100, 2 2 0
52.2, 7, 3 1 1
54.7, 22, 2 2 2
64.1, 15, 4 0 0
72.7, 26, 4 2 0
81.0, 29, 4 2 2